Cs2SrNiI6: calculated XRD peak list (Cu Kα, 1.54184 Å), based on a cell relaxed with PBE.

The 10 most intense peaks (10 to 90 degrees two-theta), sorted by position:
index, 2theta, intensity
2 2 0, 20.8, 11
2 2 2, 25.6, 100
4 0 0, 29.6, 95
4 4 0, 42.4, 67
6 2 2, 50.2, 41
4 4 4, 52.6, 22
8 0 0, 61.5, 10
6 6 2, 67.8, 14
8 4 0, 69.8, 26
8 4 4, 77.6, 18

Crystal structure
```
data_Cs2SrNiI6
_space_group_name_H-M_alt 'F m -3 m'
_space_group_IT_number 225
_space_group_name_Hall '-F 4 2 3'
_cell_length_a 12.0575
_cell_length_b 12.0575
_cell_length_c 12.0575
_cell_angle_alpha 90.00
_cell_angle_beta 90.00
_cell_angle_gamma 90.00
loop_
_atom_site_label
_atom_site_type_symbol
_atom_site_fract_x
_atom_site_fract_y
_atom_site_fract_z
Cs1 Cs 0.2500 0.2500 0.2500
Sr1 Sr 0.0000 0.0000 0.0000
Ni1 Ni 0.0000 0.0000 0.5000
I1 I 0.0000 0.0000 0.2691
```